[1]
Structure and calculated X-ray diffraction stick pattern of Fe4Te3S (a DFT-relaxed cell (PBE, Alexandria); Cu Kα, 1.54184 Å).
Lines closer than 0.1° are merged.

```
data_Fe4Te3S
_cell_length_a 3.667
_cell_length_b 3.667
_cell_length_c 12.972
_cell_angle_alpha 90.00
_cell_angle_beta 90.00
_cell_angle_gamma 90.00
_space_group_name_H-M_alt 'P 4 m m'
_space_group_IT_number 99
loop_
_space_group_symop_operation_xyz
'x,y,z'
'-y,x,z'
'-x,-y,z'
'y,-x,z'
'-x,y,z'
'y,x,z'
'x,-y,z'
'-y,-x,z'
loop_
_atom_site_label
_atom_site_fract_x
_atom_site_fract_y
_atom_site_fract_z
Fe1 0.000 0.500 0.000
Fe2 0.000 0.500 0.480
Te1 0.000 0.000 0.143
Te2 0.000 0.000 0.609
Te3 0.500 0.500 0.856
S1 0.500 0.500 0.393
```

Most intense lines, 10° ≤ 2θ ≤ 90°, by intensity:
- (1 0 2), d 3.192, 2θ = 27.95°, intensity 1000
- (1 1 4), d 2.025, 2θ = 44.75°, intensity 608
- (0 0 2), d 6.486, 2θ = 13.65°, intensity 432
- (2 0 0), d 1.833, 2θ = 49.73°, intensity 267
- (2 1 2), d 1.590, 2θ = 58.02°, intensity 248
- (1 1 2), d 2.407, 2θ = 37.35°, intensity 236
- (3 1 4), d 1.092, 2θ = 89.84°, intensity 158
- (1 0 6), d 1.862, 2θ = 48.91°, intensity 138
- (1 0 1), d 3.528, 2θ = 25.24°, intensity 112
- (1 0 5), d 2.118, 2θ = 42.69°, intensity 97
- (1 1 3), d 2.224, 2θ = 40.57°, intensity 96
- (2 1 6), d 1.306, 2θ = 72.32°, intensity 84



[2]
Structure and calculated X-ray diffraction stick pattern of FeTeS (a DFT-relaxed cell (PBE, Alexandria); Cu Kα, 1.54184 Å).
Lines closer than 0.1° are merged.

```
data_FeTeS
_cell_length_a 6.144
_cell_length_b 5.016
_cell_length_c 6.961
_cell_angle_alpha 90.00
_cell_angle_beta 91.30
_cell_angle_gamma 90.00
_space_group_name_H-M_alt 'P 1 21/c 1'
_space_group_IT_number 14
loop_
_space_group_symop_operation_xyz
'x,y,z'
'-x,-y,-z'
'-x,y+1/2,-z+1/2'
'x,-y+1/2,z+1/2'
loop_
_atom_site_label
_atom_site_fract_x
_atom_site_fract_y
_atom_site_fract_z
Fe1 0.218 0.027 0.357
Te1 0.419 0.727 0.604
S1 0.071 0.240 0.610
```

Most intense lines, 10° ≤ 2θ ≤ 90°, by intensity:
- (1 1 -2), d 2.611, 2θ = 34.35°, intensity 1000
- (2 1 0), d 2.619, 2θ = 34.24°, intensity 857
- (1 0 0), d 6.142, 2θ = 14.42°, intensity 773
- (1 1 2), d 2.574, 2θ = 34.86°, intensity 602
- (0 1 2), d 2.859, 2θ = 31.29°, intensity 550
- (2 2 0), d 1.941, 2θ = 46.80°, intensity 545
- (1 1 1), d 3.372, 2θ = 26.43°, intensity 478
- (1 2 2), d 1.924, 2θ = 47.25°, intensity 378
- (1 3 -2), d 1.468, 2θ = 63.37°, intensity 366
- (3 0 -2), d 1.782, 2θ = 51.26°, intensity 306
- (2 0 2), d 2.277, 2θ = 39.58°, intensity 279
- (1 2 0), d 2.322, 2θ = 38.78°, intensity 248



[3]
Structure and calculated X-ray diffraction stick pattern of Zr3Tl3FeS8 (a DFT-relaxed cell (PBE, Alexandria); Cu Kα, 1.54184 Å).
Lines closer than 0.1° are merged.

```
data_Zr3Tl3FeS8
_cell_length_a 12.497
_cell_length_b 7.200
_cell_length_c 8.980
_cell_angle_alpha 90.00
_cell_angle_beta 117.71
_cell_angle_gamma 90.00
_space_group_name_H-M_alt 'C 1 2/m 1'
_space_group_IT_number 12
loop_
_space_group_symop_operation_xyz
'x,y,z'
'-x,-y,-z'
'-x,y,-z'
'x,-y,z'
'x+1/2,y+1/2,z'
'-x+1/2,-y+1/2,-z'
'-x+1/2,y+1/2,-z'
'x+1/2,-y+1/2,z'
loop_
_atom_site_label
_atom_site_fract_x
_atom_site_fract_y
_atom_site_fract_z
Zr1 0.000 0.000 0.000
Zr2 0.250 0.250 0.000
Tl1 0.000 0.500 0.500
Tl2 0.250 0.250 0.500
Fe1 0.000 0.500 0.000
S1 0.018 0.268 0.821
S2 0.215 0.500 0.179
S3 0.231 0.000 0.193
```

Most intense lines, 10° ≤ 2θ ≤ 90°, by intensity:
- (4 0 0), d 2.765, 2θ = 32.38°, intensity 1000
- (2 2 0), d 3.019, 2θ = 29.59°, intensity 435
- (2 2 2), d 2.156, 2θ = 41.91°, intensity 399
- (0 0 2), d 3.975, 2θ = 22.37°, intensity 354
- (0 4 0), d 1.802, 2θ = 50.66°, intensity 290
- (2 0 0), d 5.530, 2θ = 16.03°, intensity 208
- (4 0 2), d 1.895, 2θ = 48.01°, intensity 200
- (2 0 -1), d 6.039, 2θ = 14.67°, intensity 174
- (6 2 0), d 1.642, 2θ = 56.00°, intensity 137
- (2 2 4), d 1.495, 2θ = 62.07°, intensity 130
- (2 2 1), d 2.612, 2θ = 34.34°, intensity 116
- (1 1 1), d 4.312, 2θ = 20.60°, intensity 107



[4]
Structure and calculated X-ray diffraction stick pattern of U2FeS5 (a DFT-relaxed cell (PBE, Alexandria); Cu Kα, 1.54184 Å).
Lines closer than 0.1° are merged.

```
data_U2FeS5
_cell_length_a 14.534
_cell_length_b 6.005
_cell_length_c 6.952
_cell_angle_alpha 90.00
_cell_angle_beta 97.51
_cell_angle_gamma 90.00
_space_group_name_H-M_alt 'C 1 2/c 1'
_space_group_IT_number 15
loop_
_space_group_symop_operation_xyz
'x,y,z'
'-x,-y,-z'
'-x,y,-z+1/2'
'x,-y,z+1/2'
'x+1/2,y+1/2,z'
'-x+1/2,-y+1/2,-z'
'-x+1/2,y+1/2,-z+1/2'
'x+1/2,-y+1/2,z+1/2'
loop_
_atom_site_label
_atom_site_fract_x
_atom_site_fract_y
_atom_site_fract_z
U1 0.109 0.204 0.085
Fe1 0.250 0.250 0.500
S1 0.000 0.097 0.750
S2 0.093 0.383 0.425
S3 0.221 0.087 0.809
```

Most intense lines, 10° ≤ 2θ ≤ 90°, by intensity:
- (3 1 -1), d 3.446, 2θ = 25.86°, intensity 1000
- (1 1 1), d 4.217, 2θ = 21.07°, intensity 768
- (5 1 1), d 2.342, 2θ = 38.44°, intensity 426
- (1 1 -3), d 2.161, 2θ = 41.80°, intensity 307
- (4 0 0), d 3.602, 2θ = 24.71°, intensity 247
- (0 2 0), d 3.002, 2θ = 29.76°, intensity 242
- (2 0 -2), d 3.280, 2θ = 27.19°, intensity 216
- (2 2 1), d 2.528, 2θ = 35.51°, intensity 200
- (6 0 -2), d 2.103, 2θ = 43.00°, intensity 192
- (5 1 3), d 1.629, 2θ = 56.51°, intensity 191
- (3 1 1), d 3.162, 2θ = 28.22°, intensity 182
- (2 2 2), d 2.109, 2θ = 42.89°, intensity 164



[5]
Structure and calculated X-ray diffraction stick pattern of Yb4FeS7 (a DFT-relaxed cell (PBE, Alexandria); Cu Kα, 1.54184 Å).
Lines closer than 0.1° are merged.

```
data_Yb4FeS7
_cell_length_a 13.074
_cell_length_b 3.811
_cell_length_c 10.393
_cell_angle_alpha 90.00
_cell_angle_beta 103.71
_cell_angle_gamma 90.00
_space_group_name_H-M_alt 'C 1 m 1'
_space_group_IT_number 8
loop_
_space_group_symop_operation_xyz
'x,y,z'
'x,-y,z'
'x+1/2,y+1/2,z'
'x+1/2,-y+1/2,z'
loop_
_atom_site_label
_atom_site_fract_x
_atom_site_fract_y
_atom_site_fract_z
Yb1 0.000 0.000 0.000
Yb2 0.063 0.000 0.461
Yb3 0.282 0.500 0.221
Yb4 0.381 0.000 0.648
Fe1 0.198 0.000 0.869
S1 0.033 0.000 0.724
S2 0.135 0.000 0.243
S3 0.146 0.500 0.975
S4 0.222 0.500 0.561
S5 0.258 0.500 0.777
S6 0.355 0.000 0.036
S7 0.412 0.000 0.397
```

Most intense lines, 10° ≤ 2θ ≤ 90°, by intensity:
- (2 0 2), d 3.562, 2θ = 25.00°, intensity 1000
- (3 1 0), d 2.833, 2θ = 31.59°, intensity 906
- (2 0 -3), d 3.317, 2θ = 26.88°, intensity 751
- (3 1 -2), d 2.657, 2θ = 33.74°, intensity 595
- (1 1 4), d 2.014, 2θ = 45.02°, intensity 449
- (4 0 -1), d 3.258, 2θ = 27.37°, intensity 443
- (3 1 1), d 2.621, 2θ = 34.21°, intensity 438
- (1 1 -2), d 3.059, 2θ = 29.20°, intensity 407
- (1 1 1), d 3.361, 2θ = 26.52°, intensity 382
- (0 2 0), d 1.905, 2θ = 47.73°, intensity 372
- (2 0 -2), d 4.506, 2θ = 19.70°, intensity 305
- (1 1 -1), d 3.510, 2θ = 25.37°, intensity 303



[6]
Structure and calculated X-ray diffraction stick pattern of ZnFe2S5 (a DFT-relaxed cell (PBE, Alexandria); Cu Kα, 1.54184 Å).
Lines closer than 0.1° are merged.

```
data_ZnFe2S5
_cell_length_a 3.548
_cell_length_b 13.127
_cell_length_c 6.290
_cell_angle_alpha 90.00
_cell_angle_beta 90.00
_cell_angle_gamma 90.00
_space_group_name_H-M_alt 'P m m n'
_space_group_IT_number 59
loop_
_space_group_symop_operation_xyz
'x,y,z'
'-x,-y,-z'
'-x+1/2,-y+1/2,z'
'x+1/2,y+1/2,-z'
'x+1/2,-y,-z'
'-x+1/2,y,z'
'-x,y+1/2,-z'
'x,-y+1/2,z'
loop_
_atom_site_label
_atom_site_fract_x
_atom_site_fract_y
_atom_site_fract_z
Zn1 0.250 0.250 0.065
Fe1 0.250 0.592 0.505
S1 0.250 0.048 0.300
S2 0.250 0.668 0.193
S3 0.250 0.750 0.676
```

Most intense lines, 10° ≤ 2θ ≤ 90°, by intensity:
- (0 2 1), d 4.541, 2θ = 19.55°, intensity 1000
- (1 3 2), d 2.073, 2θ = 43.67°, intensity 787
- (1 1 1), d 3.008, 2θ = 29.70°, intensity 610
- (1 0 1), d 3.090, 2θ = 28.89°, intensity 349
- (0 5 1), d 2.423, 2θ = 37.11°, intensity 348
- (0 0 1), d 6.290, 2θ = 14.08°, intensity 310
- (1 2 2), d 2.215, 2θ = 40.73°, intensity 294
- (1 7 1), d 1.603, 2θ = 57.49°, intensity 273
- (2 0 0), d 1.774, 2θ = 51.51°, intensity 261
- (0 4 1), d 2.910, 2θ = 30.73°, intensity 248
- (1 3 3), d 1.669, 2θ = 55.03°, intensity 181
- (1 3 0), d 2.756, 2θ = 32.49°, intensity 175



[7]
Structure and calculated X-ray diffraction stick pattern of ZnFeS (a DFT-relaxed cell (PBE, Alexandria); Cu Kα, 1.54184 Å).
Lines closer than 0.1° are merged.

```
data_ZnFeS
_cell_length_a 7.441
_cell_length_b 3.434
_cell_length_c 7.420
_cell_angle_alpha 90.00
_cell_angle_beta 90.00
_cell_angle_gamma 90.00
_space_group_name_H-M_alt 'A m m 2'
_space_group_IT_number 38
loop_
_space_group_symop_operation_xyz
'x,y,z'
'-x,-y,z'
'-x,y,z'
'x,-y,z'
'x,y+1/2,z+1/2'
'-x,-y+1/2,z+1/2'
'-x,y+1/2,z+1/2'
'x,-y+1/2,z+1/2'
loop_
_atom_site_label
_atom_site_fract_x
_atom_site_fract_y
_atom_site_fract_z
Zn1 0.167 0.000 0.000
Fe1 0.000 0.000 0.695
Fe2 0.500 0.000 0.173
S1 0.304 0.000 0.708
```

Most intense lines, 10° ≤ 2θ ≤ 90°, by intensity:
- (3 1 1), d 1.940, 2θ = 46.83°, intensity 1000
- (0 1 1), d 3.116, 2θ = 28.65°, intensity 472
- (1 1 1), d 2.874, 2θ = 31.12°, intensity 286
- (3 0 2), d 2.062, 2θ = 43.91°, intensity 264
- (0 0 2), d 3.710, 2θ = 23.99°, intensity 248
- (0 1 3), d 2.007, 2θ = 45.18°, intensity 219
- (2 0 2), d 2.627, 2θ = 34.13°, intensity 200
- (3 1 5), d 1.194, 2θ = 80.44°, intensity 199
- (0 2 0), d 1.717, 2θ = 53.36°, intensity 182
- (1 0 0), d 7.441, 2θ = 11.89°, intensity 177
- (1 0 2), d 3.320, 2θ = 26.85°, intensity 170
- (0 0 4), d 1.855, 2θ = 49.11°, intensity 126



[8]
Structure and calculated X-ray diffraction stick pattern of Zn4FeS5 (a DFT-relaxed cell (PBE, Alexandria); Cu Kα, 1.54184 Å).
Lines closer than 0.1° are merged.

```
data_Zn4FeS5
_cell_length_a 3.8323
_cell_length_b 3.8323
_cell_length_c 47.1467
_cell_angle_alpha 90.00
_cell_angle_beta 90.00
_cell_angle_gamma 120.00
_space_group_name_H-M_alt 'R 3 m'
_space_group_IT_number 160
_space_group_name_Hall 'R 3 -2"'
loop_
_atom_site_label
_atom_site_fract_x
_atom_site_fract_y
_atom_site_fract_z
Zn1 0.0000 0.0000 0.0000
Zn2 0.0000 0.0000 0.1997
Zn3 0.0000 0.0000 0.4002
Zn4 0.0000 0.0000 0.5999
Fe1 0.0000 0.0000 0.8004
S1 0.0000 0.0000 0.1496
S2 0.0000 0.0000 0.3502
S3 0.0000 0.0000 0.5500
S4 0.0000 0.0000 0.7508
S5 0.0000 0.0000 0.9501
```

Most intense lines, 10° ≤ 2θ ≤ 90°, by intensity:
- (0 1 5), d 3.131, 2θ = 28.51°, intensity 1000
- (0 1 20), d 1.922, 2θ = 47.30°, intensity 408
- (1 1 0), d 1.916, 2θ = 47.45°, intensity 404
- (2 0 5), d 1.636, 2θ = 56.25°, intensity 400
- (0 0 15), d 3.143, 2θ = 28.40°, intensity 333
- (1 0 10), d 2.714, 2θ = 33.01°, intensity 147
- (1 0 25), d 1.640, 2θ = 56.09°, intensity 137
- (1 2 20), d 1.107, 2θ = 88.24°, intensity 127
- (2 0 20), d 1.357, 2θ = 69.24°, intensity 121
- (1 2 5), d 1.243, 2θ = 76.63°, intensity 102
- (1 0 40), d 1.111, 2θ = 87.91°, intensity 64
- (3 0 0), d 1.106, 2θ = 88.35°, intensity 63



[9]
Structure and calculated X-ray diffraction stick pattern of ZnFe2S4 (a DFT-relaxed cell (PBE, Alexandria); Cu Kα, 1.54184 Å).
Lines closer than 0.1° are merged.

Unit cell a=9.673 b=9.673 c=9.673 alpha=90.00 beta=90.00 gamma=90.00
Space group Fd-3m (No. 227, origin choice 2)
Asymmetric unit:
Zn 0.125 0.125 0.125 (multiplicity 8)
Fe 0.000 0.000 0.500 (multiplicity 16)
S 0.014 0.014 0.736 (multiplicity 32)

Most intense lines, 10° ≤ 2θ ≤ 90°, by intensity:
- (3 1 1), d 2.916, 2θ = 30.66°, intensity 1000
- (4 4 0), d 1.710, 2θ = 53.60°, intensity 807
- (5 1 1), d 1.862, 2θ = 48.93°, intensity 551
- (2 2 0), d 3.420, 2θ = 26.06°, intensity 407
- (4 0 0), d 2.418, 2θ = 37.18°, intensity 389
- (5 5 3), d 1.259, 2θ = 75.50°, intensity 168
- (4 2 2), d 1.974, 2θ = 45.97°, intensity 136
- (1 1 1), d 5.585, 2θ = 15.87°, intensity 136
- (5 5 5), d 1.117, 2θ = 87.30°, intensity 128
- (5 3 3), d 1.475, 2θ = 63.02°, intensity 123
- (8 0 0), d 1.209, 2θ = 79.23°, intensity 108
- (6 4 2), d 1.293, 2θ = 73.23°, intensity 92



[10]
Structure and calculated X-ray diffraction stick pattern of Fe5Sb4 (a DFT-relaxed cell (PBE, Alexandria); Cu Kα, 1.54184 Å).
Lines closer than 0.1° are merged.

```
data_Fe5Sb4
_cell_length_a 4.103
_cell_length_b 10.176
_cell_length_c 7.151
_cell_angle_alpha 90.00
_cell_angle_beta 90.00
_cell_angle_gamma 90.00
_space_group_name_H-M_alt 'I m m 2'
_space_group_IT_number 44
loop_
_space_group_symop_operation_xyz
'x,y,z'
'-x,-y,z'
'-x,y,z'
'x,-y,z'
'x+1/2,y+1/2,z+1/2'
'-x+1/2,-y+1/2,z+1/2'
'-x+1/2,y+1/2,z+1/2'
'x+1/2,-y+1/2,z+1/2'
loop_
_atom_site_label
_atom_site_fract_x
_atom_site_fract_y
_atom_site_fract_z
Fe1 0.000 0.000 0.000
Fe2 0.000 0.131 0.339
Fe3 0.000 0.381 0.343
Sb1 0.000 0.000 0.646
Sb2 0.000 0.256 0.010
Sb3 0.000 0.500 0.710
```

Most intense lines, 10° ≤ 2θ ≤ 90°, by intensity:
- (1 2 1), d 2.919, 2θ = 30.62°, intensity 1000
- (1 4 1), d 2.071, 2θ = 43.72°, intensity 719
- (1 0 3), d 2.061, 2θ = 43.93°, intensity 506
- (2 0 0), d 2.052, 2θ = 44.14°, intensity 281
- (1 6 1), d 1.531, 2θ = 60.45°, intensity 138
- (2 4 2), d 1.458, 2θ = 63.83°, intensity 138
- (2 2 2), d 1.680, 2θ = 54.64°, intensity 121
- (0 0 6), d 1.193, 2θ = 80.55°, intensity 87
- (0 4 0), d 2.544, 2θ = 35.28°, intensity 82
- (3 0 3), d 1.186, 2θ = 81.05°, intensity 78
- (1 1 2), d 2.606, 2θ = 34.42°, intensity 74
- (3 4 1), d 1.188, 2θ = 80.92°, intensity 74



[11]
Structure and calculated X-ray diffraction stick pattern of Fe4Sb (a DFT-relaxed cell (PBE, Alexandria); Cu Kα, 1.54184 Å).
Lines closer than 0.1° are merged.

```
data_Fe4Sb
_cell_length_a 5.849
_cell_length_b 5.849
_cell_length_c 3.900
_cell_angle_alpha 90.00
_cell_angle_beta 90.00
_cell_angle_gamma 90.00
_space_group_name_H-M_alt 'I 4/m'
_space_group_IT_number 87
_space_group_name_Hall '-I 4'
loop_
_atom_site_label
_atom_site_fract_x
_atom_site_fract_y
_atom_site_fract_z
Fe1 0.088 0.306 0.000
Sb1 0.000 0.000 0.500
```

Most intense lines, 10° ≤ 2θ ≤ 90°, by intensity:
- (2 1 1), d 2.172, 2θ = 41.58°, intensity 1000
- (1 3 0), d 1.849, 2θ = 49.27°, intensity 293
- (5 0 1), d 1.120, 2θ = 86.96°, intensity 195
- (1 3 2), d 1.342, 2θ = 70.13°, intensity 190
- (0 0 2), d 1.950, 2θ = 46.58°, intensity 171
- (2 1 3), d 1.164, 2θ = 82.95°, intensity 120
- (1 0 1), d 3.244, 2θ = 27.49°, intensity 87
- (4 2 0), d 1.308, 2θ = 72.24°, intensity 81
- (2 0 0), d 2.924, 2θ = 30.57°, intensity 62
- (1 1 0), d 4.136, 2θ = 21.49°, intensity 54
- (2 3 1), d 1.498, 2θ = 61.96°, intensity 25
- (4 1 1), d 1.333, 2θ = 70.67°, intensity 23



[12]
Structure and calculated X-ray diffraction stick pattern of FeSb4 (a DFT-relaxed cell (PBE, Alexandria); Cu Kα, 1.54184 Å).
Lines closer than 0.1° are merged.

```
data_FeSb4
_cell_length_a 5.821
_cell_length_b 6.452
_cell_length_c 6.721
_cell_angle_alpha 90.00
_cell_angle_beta 91.78
_cell_angle_gamma 90.00
_space_group_name_H-M_alt 'P 1 2/c 1'
_space_group_IT_number 13
loop_
_space_group_symop_operation_xyz
'x,y,z'
'-x,-y,-z'
'-x,y,-z+1/2'
'x,-y,z+1/2'
loop_
_atom_site_label
_atom_site_fract_x
_atom_site_fract_y
_atom_site_fract_z
Fe1 0.000 0.164 0.250
Sb1 0.251 0.089 0.948
Sb2 0.270 0.456 0.334
```

Most intense lines, 10° ≤ 2θ ≤ 90°, by intensity:
- (2 0 0), d 2.909, 2θ = 30.73°, intensity 1000
- (1 0 -2), d 2.949, 2θ = 30.31°, intensity 808
- (1 2 1), d 2.587, 2θ = 34.67°, intensity 793
- (0 1 2), d 2.979, 2θ = 29.99°, intensity 634
- (0 2 0), d 3.226, 2θ = 27.65°, intensity 509
- (2 1 -2), d 2.111, 2θ = 42.84°, intensity 484
- (2 2 0), d 2.161, 2θ = 41.81°, intensity 459
- (1 0 2), d 2.871, 2θ = 31.16°, intensity 449
- (1 2 -1), d 2.617, 2θ = 34.26°, intensity 409
- (1 2 2), d 2.145, 2θ = 42.14°, intensity 321
- (1 1 1), d 3.597, 2θ = 24.75°, intensity 300
- (1 1 4), d 1.553, 2θ = 59.51°, intensity 244



[13]
Structure and calculated X-ray diffraction stick pattern of Fe4Sb (a DFT-relaxed cell (PBE, Alexandria); Cu Kα, 1.54184 Å).
Lines closer than 0.1° are merged.

```
data_Fe4Sb
_cell_length_a 3.586
_cell_length_b 3.586
_cell_length_c 11.296
_cell_angle_alpha 90.00
_cell_angle_beta 90.00
_cell_angle_gamma 90.00
_space_group_name_H-M_alt 'I 4/m m m'
_space_group_IT_number 139
_space_group_name_Hall '-I 4 2'
loop_
_atom_site_label
_atom_site_fract_x
_atom_site_fract_y
_atom_site_fract_z
Fe1 0.000 0.000 0.110
Fe2 0.000 0.500 0.250
Sb1 0.000 0.000 0.500
```

Most intense lines, 10° ≤ 2θ ≤ 90°, by intensity:
- (1 1 2), d 2.313, 2θ = 38.93°, intensity 1000
- (1 0 3), d 2.597, 2θ = 34.54°, intensity 647
- (1 0 5), d 1.912, 2θ = 47.57°, intensity 438
- (2 0 0), d 1.793, 2θ = 50.93°, intensity 411
- (2 1 5), d 1.308, 2θ = 72.24°, intensity 236
- (2 1 3), d 1.476, 2θ = 63.00°, intensity 212
- (3 1 2), d 1.112, 2θ = 87.79°, intensity 176
- (1 1 6), d 1.512, 2θ = 61.29°, intensity 176
- (1 1 0), d 2.536, 2θ = 35.40°, intensity 140
- (2 0 8), d 1.109, 2θ = 88.04°, intensity 132
- (2 2 0), d 1.268, 2θ = 74.89°, intensity 121
- (0 0 4), d 2.824, 2θ = 31.68°, intensity 108